[1]
Simulated powder diffractogram of Cu3Ag2 for Cu Kα (weighted mean of Kα1 and Kα2), from a PBE-relaxed structure.
Lines closer than 0.1° are merged.

Top 10 peaks for 15 to 90 degrees two-theta, by angle:
40.5 deg, 2.227 Å, I = 100, (1 1 -2)
40.7 deg, 2.216 Å, I = 98, (6 0 -2)
46.7 deg, 1.944 Å, I = 66, (5 1 0)
48.3 deg, 1.885 Å, I = 28, (2 0 -4)
67.9 deg, 1.380 Å, I = 10, (0 2 0)
68.5 deg, 1.370 Å, I = 10, (10 0 0)
69.5 deg, 1.353 Å, I = 35, (7 1 -4)
82.3 deg, 1.171 Å, I = 23, (6 2 -2)
82.7 deg, 1.167 Å, I = 22, (11 1 -2)
87.6 deg, 1.113 Å, I = 9, (2 2 -4)

Crystal structure
Cell lengths 14.205, 2.760, 7.539 Å; angles 90.00, 105.37, 90.00 degrees
Space group C2/m (No. 12)
Symmetry-distinct sites (fractional):
Cu 0.102 0.000 0.292
Cu 0.104 0.000 0.814
Cu 0.199 0.500 0.087
Ag 0.000 0.500 0.000
Ag 0.000 0.500 0.500
Ag 0.202 0.500 0.613

***

[2]
Simulated powder diffractogram of Cu5Ag2 for Cu Kα (weighted mean of Kα1 and Kα2), from a PBE-relaxed structure.
Lines closer than 0.1° are merged.

Top 10 peaks for 15 to 90 degrees two-theta, by angle:
41.1 deg, 2.196 Å, I = 100, (1 1 -2)
41.4 deg, 2.182 Å, I = 32, (4 0 -1)
47.3 deg, 1.922 Å, I = 45, (3 1 1)
49.2 deg, 1.853 Å, I = 17, (2 0 -4)
68.9 deg, 1.362 Å, I = 8, (0 2 0)
70.4 deg, 1.338 Å, I = 11, (1 1 5)
70.8 deg, 1.331 Å, I = 10, (5 1 -3)
83.5 deg, 1.158 Å, I = 7, (2 2 3)
83.7 deg, 1.156 Å, I = 15, (4 2 -1)
89.2 deg, 1.098 Å, I = 8, (2 2 -4)

Crystal structure
Cell lengths 8.919, 2.725, 7.912 Å; angles 90.00, 94.11, 90.00 degrees
Space group C2/m (No. 12)
Symmetry-distinct sites (fractional):
Cu 0.000 0.000 0.000
Cu 0.059 0.500 0.295
Cu 0.141 0.000 0.553
Ag 0.219 0.500 0.842

***

[3]
Simulated powder diffractogram of Cu4Ag5 for Cu Kα (weighted mean of Kα1 and Kα2), from a PBE-relaxed structure.
Lines closer than 0.1° are merged.

Top 10 peaks for 15 to 90 degrees two-theta, by angle:
39.5 deg, 2.283 Å, I = 91, (0 1 9)
39.9 deg, 2.258 Å, I = 100, (1 1 0)
44.6 deg, 2.031 Å, I = 63, (1 0 9)
49.2 deg, 1.854 Å, I = 27, (0 2 0)
65.6 deg, 1.423 Å, I = 10, (2 0 0)
68.5 deg, 1.369 Å, I = 33, (1 2 9)
78.4 deg, 1.219 Å, I = 17, (1 1 18)
79.3 deg, 1.208 Å, I = 21, (2 1 9)
85.7 deg, 1.133 Å, I = 10, (1 3 0)
86.1 deg, 1.129 Å, I = 12, (2 2 0)

Crystal structure
Cell lengths 2.846, 3.707, 26.078 Å; angles 90.00, 90.00, 90.00 degrees
Space group Imm2 (No. 44)
Symmetry-distinct sites (fractional):
Cu 0.000 0.000 0.000
Cu 0.000 0.000 0.108
Cu 0.000 0.000 0.217
Cu 0.000 0.000 0.764
Ag 0.000 0.000 0.318
Ag 0.000 0.000 0.445
Ag 0.000 0.000 0.554
Ag 0.000 0.000 0.662
Ag 0.000 0.000 0.882

***

[4]
Simulated powder diffractogram of Cu4Ag5 for Cu Kα (weighted mean of Kα1 and Kα2), from a PBE-relaxed structure.
Lines closer than 0.1° are merged.

Top 10 peaks for 15 to 90 degrees two-theta, by angle:
39.4 deg, 2.284 Å, I = 50, (6 0 -1)
39.8 deg, 2.262 Å, I = 100, (3 1 -2)
40.0 deg, 2.256 Å, I = 47, (0 0 3)
44.9 deg, 2.019 Å, I = 71, (3 1 1)
48.9 deg, 1.863 Å, I = 23, (6 0 -4)
65.6 deg, 1.423 Å, I = 11, (0 2 0)
68.2 deg, 1.375 Å, I = 15, (9 1 -3)
68.9 deg, 1.363 Å, I = 14, (3 1 -5)
79.3 deg, 1.208 Å, I = 12, (6 2 -1)
79.6 deg, 1.204 Å, I = 11, (0 2 3)

Crystal structure
Cell lengths 14.186, 2.847, 7.950 Å; angles 90.00, 121.63, 90.00 degrees
Space group Cm (No. 8)
Symmetry-distinct sites (fractional):
Cu 0.000 0.000 0.000
Cu 0.044 0.500 0.304
Cu 0.300 0.500 0.685
Cu 0.451 0.000 0.692
Ag 0.120 0.000 0.647
Ag 0.161 0.500 0.000
Ag 0.216 0.000 0.356
Ag 0.337 0.000 0.999
Ag 0.394 0.500 0.358

***

[5]
Simulated powder diffractogram of Cu3Ag2 for Cu Kα (weighted mean of Kα1 and Kα2), from a PBE-relaxed structure.
Lines closer than 0.1° are merged.

Top 10 peaks for 15 to 90 degrees two-theta, by angle:
40.5 deg, 2.229 Å, I = 100, (3 1 1)
41.0 deg, 2.203 Å, I = 30, (10 0 0)
45.8 deg, 1.981 Å, I = 46, (7 1 -1)
49.9 deg, 1.826 Å, I = 16, (6 0 2)
66.5 deg, 1.406 Å, I = 7, (0 2 0)
69.7 deg, 1.349 Å, I = 11, (1 1 -3)
70.5 deg, 1.336 Å, I = 10, (13 1 1)
80.8 deg, 1.190 Å, I = 8, (4 2 -2)
81.1 deg, 1.186 Å, I = 14, (10 2 0)
81.7 deg, 1.178 Å, I = 6, (17 1 -1)

Crystal structure
Cell lengths 22.271, 2.813, 4.625 Å; angles 90.00, 98.38, 90.00 degrees
Space group C2/m (No. 12)
Symmetry-distinct sites (fractional):
Cu 0.058 0.000 0.340
Cu 0.152 0.500 0.546
Cu 0.246 0.000 0.727
Ag 0.046 0.500 0.819
Ag 0.156 0.000 0.053

***

[6]
Simulated powder diffractogram of Cu3Ag7 for Cu Kα (weighted mean of Kα1 and Kα2), from a PBE-relaxed structure.
Lines closer than 0.1° are merged.

Top 10 peaks for 15 to 90 degrees two-theta, by angle:
35.8 deg, 2.511 Å, I = 16, (0 0 27)
38.5 deg, 2.340 Å, I = 100, (1 0 10)
39.9 deg, 2.259 Å, I = 16, (0 0 30)
42.8 deg, 2.114 Å, I = 15, (0 1 17)
45.1 deg, 2.008 Å, I = 50, (0 1 20)
63.0 deg, 1.476 Å, I = 13, (1 0 37)
64.8 deg, 1.439 Å, I = 21, (1 1 0)
76.3 deg, 1.249 Å, I = 18, (0 1 47)
77.9 deg, 1.226 Å, I = 11, (0 2 10)
78.8 deg, 1.214 Å, I = 12, (1 1 30)

Crystal structure
Cell lengths 2.8790, 2.8790, 67.7841 Å; angles 90.00, 90.00, 120.00 degrees
Space group R-3m (No. 166, hexagonal axes)
Symmetry-distinct sites (fractional):
Cu 0.0000 0.0000 0.0000
Cu 0.0000 0.0000 0.3053
Ag 0.0000 0.0000 0.0959
Ag 0.0000 0.0000 0.2019
Ag 0.0000 0.0000 0.3934
Ag 0.0000 0.0000 0.5000

***

[7]
Simulated powder diffractogram of Cu3Ag5 for Cu Kα (weighted mean of Kα1 and Kα2), from a PBE-relaxed structure.
Lines closer than 0.1° are merged.

Top 10 peaks for 15 to 90 degrees two-theta, by angle:
39.2 deg, 2.297 Å, I = 100, (3 1 -2)
39.3 deg, 2.291 Å, I = 99, (1 1 2)
45.1 deg, 2.008 Å, I = 33, (2 0 -4)
45.7 deg, 1.984 Å, I = 31, (4 0 0)
46.1 deg, 1.969 Å, I = 31, (0 2 0)
66.5 deg, 1.406 Å, I = 19, (2 2 -4)
67.0 deg, 1.398 Å, I = 19, (4 2 0)
79.2 deg, 1.209 Å, I = 11, (5 1 -6)
79.5 deg, 1.206 Å, I = 12, (1 1 -6)
80.7 deg, 1.190 Å, I = 22, (1 3 2)

Crystal structure
Cell lengths 8.908, 3.938, 8.034 Å; angles 90.00, 117.03, 90.00 degrees
Space group C2/m (No. 12)
Symmetry-distinct sites (fractional):
Cu 0.000 0.000 0.000
Cu 0.248 0.000 0.377
Ag 0.000 0.000 0.500
Ag 0.008 0.500 0.255
Ag 0.247 0.500 0.126

***

[8]
Simulated powder diffractogram of Cu3Ag2 for Cu Kα (weighted mean of Kα1 and Kα2), from a PBE-relaxed structure.
Lines closer than 0.1° are merged.

Top 10 peaks for 15 to 90 degrees two-theta, by angle:
35.6 deg, 2.521 Å, I = 10, (1 3 1)
38.1 deg, 2.359 Å, I = 6, (0 8 0)
40.6 deg, 2.224 Å, I = 100, (1 5 1)
46.7 deg, 1.946 Å, I = 36, (2 0 0)
48.2 deg, 1.887 Å, I = 11, (0 10 0)
68.1 deg, 1.376 Å, I = 11, (2 0 2)
69.4 deg, 1.355 Å, I = 14, (2 10 0)
73.8 deg, 1.284 Å, I = 5, (1 13 1)
82.4 deg, 1.170 Å, I = 23, (3 5 1)
87.8 deg, 1.112 Å, I = 8, (2 10 2)

Crystal structure
Cell lengths 3.892, 18.872, 3.892 Å; angles 90.00, 90.00, 90.00 degrees
Space group Cmmm (No. 65)
Symmetry-distinct sites (fractional):
Cu 0.000 0.114 0.000
Cu 0.000 0.207 0.500
Cu 0.000 0.292 0.000
Ag 0.000 0.000 0.500
Ag 0.000 0.389 0.500
Ag 0.000 0.500 0.000

***

[9]
Simulated powder diffractogram of Cu3Ag5 for Cu Kα (weighted mean of Kα1 and Kα2), from a PBE-relaxed structure.
Lines closer than 0.1° are merged.

Top 10 peaks for 15 to 90 degrees two-theta, by angle:
33.0 deg, 2.716 Å, I = 21, (0 1 3)
39.0 deg, 2.307 Å, I = 87, (0 1 4)
39.4 deg, 2.287 Å, I = 12, (1 0 3)
39.5 deg, 2.281 Å, I = 100, (1 1 0)
44.7 deg, 2.027 Å, I = 58, (1 0 4)
47.5 deg, 1.913 Å, I = 29, (0 2 0)
67.3 deg, 1.391 Å, I = 32, (1 2 4)
70.3 deg, 1.338 Å, I = 12, (1 1 7)
78.3 deg, 1.221 Å, I = 12, (1 1 8)
79.2 deg, 1.210 Å, I = 22, (2 1 4)

Crystal structure
Cell lengths 2.841, 3.826, 11.570 Å; angles 90.00, 90.00, 90.00 degrees
Space group Pmmm (No. 47)
Symmetry-distinct sites (fractional):
Cu 0.000 0.000 0.000
Cu 0.500 0.500 0.106
Ag 0.000 0.000 0.227
Ag 0.000 0.000 0.500
Ag 0.500 0.500 0.363

***

[10]
Simulated powder diffractogram of Cu3Ag7 for Cu Kα (weighted mean of Kα1 and Kα2), from a PBE-relaxed structure.
Lines closer than 0.1° are merged.

Top 10 peaks for 15 to 90 degrees two-theta, by angle:
38.8 deg, 2.322 Å, I = 100, (3 1 1)
44.4 deg, 2.040 Å, I = 17, (4 0 -2)
45.2 deg, 2.005 Å, I = 15, (2 0 4)
45.6 deg, 1.989 Å, I = 16, (0 2 0)
65.2 deg, 1.430 Å, I = 9, (6 0 2)
65.5 deg, 1.424 Å, I = 10, (4 2 -2)
78.0 deg, 1.225 Å, I = 11, (7 1 -1)
79.1 deg, 1.210 Å, I = 9, (5 1 5)
79.7 deg, 1.203 Å, I = 11, (3 3 1)
83.2 deg, 1.161 Å, I = 9, (6 2 2)

Crystal structure
Cell lengths 9.091, 3.979, 8.999 Å; angles 90.00, 90.79, 90.00 degrees
Space group Cm (No. 8)
Symmetry-distinct sites (fractional):
Cu 0.000 0.000 0.000
Cu 0.090 0.500 0.177
Cu 0.397 0.500 0.266
Ag 0.095 0.000 0.685
Ag 0.188 0.000 0.367
Ag 0.193 0.500 0.896
Ag 0.294 0.500 0.574
Ag 0.304 0.000 0.088
Ag 0.397 0.000 0.788
Ag 0.489 0.000 0.464

***

[11]
Simulated powder diffractogram of Cu4Ag5 for Cu Kα (weighted mean of Kα1 and Kα2), from a PBE-relaxed structure.
Lines closer than 0.1° are merged.

Top 10 peaks for 15 to 90 degrees two-theta, by angle:
39.6 deg, 2.273 Å, I = 100, (3 1 -2)
39.9 deg, 2.262 Å, I = 32, (0 0 3)
45.2 deg, 2.007 Å, I = 46, (3 1 1)
48.1 deg, 1.892 Å, I = 17, (6 0 -4)
65.7 deg, 1.421 Å, I = 7, (0 2 0)
68.0 deg, 1.380 Å, I = 12, (9 1 -3)
68.3 deg, 1.374 Å, I = 11, (3 1 -5)
79.6 deg, 1.205 Å, I = 15, (6 2 -1)
79.7 deg, 1.203 Å, I = 8, (0 2 3)
79.9 deg, 1.201 Å, I = 7, (3 1 4)

Crystal structure
Cell lengths 14.224, 2.842, 8.064 Å; angles 90.00, 122.71, 90.00 degrees
Space group Cm (No. 8)
Symmetry-distinct sites (fractional):
Cu 0.000 0.000 0.000
Cu 0.043 0.500 0.305
Cu 0.279 0.500 0.664
Cu 0.390 0.500 0.323
Ag 0.109 0.000 0.634
Ag 0.162 0.500 0.991
Ag 0.217 0.000 0.336
Ag 0.336 0.000 0.990
Ag 0.439 0.000 0.659

***

[12]
Simulated powder diffractogram of CuAg7 for Cu Kα (weighted mean of Kα1 and Kα2), from a PBE-relaxed structure.
Lines closer than 0.1° are merged.

Top 10 peaks for 15 to 90 degrees two-theta, by angle:
38.0 deg, 2.366 Å, I = 100, (2 0 -4)
38.2 deg, 2.358 Å, I = 32, (4 0 0)
44.1 deg, 2.055 Å, I = 44, (3 1 -2)
44.6 deg, 2.032 Å, I = 20, (2 0 4)
64.0 deg, 1.454 Å, I = 7, (0 2 0)
64.4 deg, 1.447 Å, I = 13, (1 1 -6)
64.6 deg, 1.443 Å, I = 12, (5 1 2)
77.0 deg, 1.239 Å, I = 23, (2 2 -4)
77.2 deg, 1.236 Å, I = 7, (7 1 -2)
81.3 deg, 1.183 Å, I = 10, (4 0 -8)

Crystal structure
Cell lengths 9.599, 2.909, 10.010 Å; angles 90.00, 100.66, 90.00 degrees
Space group C2/m (No. 12)
Symmetry-distinct sites (fractional):
Cu 0.000 0.000 0.000
Ag 0.000 0.000 0.500
Ag 0.008 0.500 0.762
Ag 0.238 0.500 0.118
Ag 0.246 0.000 0.372

***

[13]
Simulated powder diffractogram of Dy3In3Cu2Ag for Cu Kα (weighted mean of Kα1 and Kα2), from a PBE-relaxed structure.
Lines closer than 0.1° are merged.

Top 10 peaks for 15 to 90 degrees two-theta, by angle:
32.7 deg, 2.739 Å, I = 100, (1 1 1)
35.5 deg, 2.529 Å, I = 84, (2 0 1)
36.1 deg, 2.490 Å, I = 42, (2 1 0)
41.1 deg, 2.196 Å, I = 33, (3 0 0)
46.0 deg, 1.974 Å, I = 22, (0 0 2)
49.9 deg, 1.828 Å, I = 16, (3 1 0)
55.4 deg, 1.658 Å, I = 18, (3 1 1)
59.8 deg, 1.547 Å, I = 19, (2 1 2)
63.3 deg, 1.468 Å, I = 17, (3 0 2)
66.2 deg, 1.412 Å, I = 29, (3 2 1)

Crystal structure
Cell lengths 7.6085, 7.6085, 3.9479 Å; angles 90.00, 90.00, 120.00 degrees
Space group P-62m (No. 189)
Symmetry-distinct sites (fractional):
Dy 0.0000 0.5889 0.0000
In 0.0000 0.2684 0.5000
Cu 0.3333 0.6667 0.5000
Ag 0.0000 0.0000 0.0000

***

[14]
Simulated powder diffractogram of Dy2Mg2Cu3Ag for Cu Kα (weighted mean of Kα1 and Kα2), from a PBE-relaxed structure.
Lines closer than 0.1° are merged.

Top 10 peaks for 15 to 90 degrees two-theta, by angle:
22.9 deg, 3.883 Å, I = 56, (1 0 -1)
37.8 deg, 2.381 Å, I = 100, (1 1 -2)
37.9 deg, 2.371 Å, I = 50, (0 2 0)
44.5 deg, 2.036 Å, I = 9, (1 0 -3)
44.8 deg, 2.024 Å, I = 19, (1 2 -1)
54.2 deg, 1.691 Å, I = 8, (0 0 4)
54.7 deg, 1.677 Å, I = 17, (2 2 0)
68.1 deg, 1.377 Å, I = 16, (2 0 -4)
68.4 deg, 1.371 Å, I = 33, (3 1 -2)
80.7 deg, 1.191 Å, I = 10, (2 2 -4)

Crystal structure
Cell lengths 4.743, 4.742, 6.765 Å; angles 90.00, 90.01, 90.00 degrees
Space group Pm (No. 6)
Symmetry-distinct sites (fractional):
Dy 0.000 0.000 0.000
Dy 0.493 0.500 0.476
Mg 0.496 0.500 0.992
Mg 0.997 0.000 0.484
Cu 0.501 0.000 0.238
Cu 0.501 0.000 0.738
Cu 0.992 0.500 0.238
Ag 0.992 0.500 0.738